1.
The following is a theoretical powder diffractogram of LiFe2Os. It was derived from a crystal structure in Alexandria, relaxed with PBE, using CuKα.
Kinematic intensities with the Lorentz-polarization factor, no thermal factor.

Main lines, low angle first (5 to 70 degrees two-theta):
(0 0 1), d 8.833, 10.01°, I = 100; (0 0 3), d 2.944, 30.36°, I = 7; (1 1 1), d 2.280, 39.52°, I = 14; (0 0 4), d 2.208, 40.86°, I = 10; (0 2 0), d 2.167, 41.67°, I = 9; (1 1 2), d 2.082, 43.47°, I = 33; (1 1 3), d 1.842, 49.49°, I = 9; (0 2 4), d 1.547, 59.79°, I = 6

Crystal structure
```
data_LiFe2Os
_symmetry_space_group_name_H-M 'C m m m'
_symmetry_Int_Tables_number 65
_symmetry_space_group_name_Hall '-C 2 2'
_cell_length_a 2.814
_cell_length_b 4.334
_cell_length_c 8.833
_cell_angle_alpha 90.00
_cell_angle_beta 90.00
_cell_angle_gamma 90.00
loop_
_atom_site_label
_atom_site_type_symbol
_atom_site_fract_x
_atom_site_fract_y
_atom_site_fract_z
Li1 Li 0.000 0.000 0.000
Fe1 Fe 0.000 0.500 0.256
Os1 Os 0.000 0.000 0.500
```


2.
The following is a theoretical powder diffractogram of Li2Fe2P. It was derived from a crystal structure in Alexandria, relaxed with PBE, using CuKα.
Kinematic intensities with the Lorentz-polarization factor, no thermal factor.

Main lines, low angle first (5 to 70 degrees two-theta):
(0 0 2), d 8.199, 10.79°, I = 100; (0 0 4), d 4.100, 21.68°, I = 62; (0 0 6), d 2.733, 32.77°, I = 10; (1 1 2), d 2.056, 44.04°, I = 40; (0 0 8), d 2.050, 44.18°, I = 10; (1 1 4), d 1.886, 48.26°, I = 12; (1 1 6), d 1.677, 54.73°, I = 17; (2 0 4), d 1.410, 66.28°, I = 9

Crystal structure
```
data_Li2Fe2P
_symmetry_space_group_name_H-M 'I 4/m m m'
_symmetry_Int_Tables_number 139
_symmetry_space_group_name_Hall '-I 4 2'
_cell_length_a 3.004
_cell_length_b 3.004
_cell_length_c 16.398
_cell_angle_alpha 90.00
_cell_angle_beta 90.00
_cell_angle_gamma 90.00
loop_
_atom_site_label
_atom_site_type_symbol
_atom_site_fract_x
_atom_site_fract_y
_atom_site_fract_z
Li1 Li 0.000 0.000 0.101
Fe1 Fe 0.000 0.500 0.250
P1 P 0.000 0.000 0.500
```


3.
The following is a theoretical powder diffractogram of Li2FeP2S6. It was derived from a crystal structure in Alexandria, relaxed with PBE, using CuKα.
Kinematic intensities with the Lorentz-polarization factor, no thermal factor.

Main lines, low angle first (5 to 70 degrees two-theta):
(0 0 1), d 6.596, 13.42°, I = 69; (1 0 0), d 5.070, 17.49°, I = 34; (1 0 1), d 4.020, 22.11°, I = 26; (0 0 2), d 3.298, 27.04°, I = 22; (2 -1 1), d 2.676, 33.49°, I = 100; (2 -1 2), d 2.189, 41.24°, I = 31; (1 1 3), d 1.758, 52.02°, I = 18; (3 0 0), d 1.690, 54.28°, I = 32

Crystal structure
```
data_Li2FeP2S6
_symmetry_space_group_name_H-M 'P 3 1 2'
_symmetry_Int_Tables_number 149
_symmetry_space_group_name_Hall 'P 3 2'
_cell_length_a 5.8546
_cell_length_b 5.8546
_cell_length_c 6.5956
_cell_angle_alpha 90.00
_cell_angle_beta 90.00
_cell_angle_gamma 120.00
loop_
_atom_site_label
_atom_site_type_symbol
_atom_site_fract_x
_atom_site_fract_y
_atom_site_fract_z
Li1 Li 0.0000 0.0000 0.0000
Li2 Li 0.0000 0.0000 0.5000
Fe1 Fe 0.6667 0.3333 0.0000
P1 P 0.3333 0.6667 0.1651
S1 S 0.3631 0.0242 0.2299
```


4.
The following is a theoretical powder diffractogram of Li3FePd6. It was derived from a crystal structure in Alexandria, relaxed with PBE, using CuKα.
Kinematic intensities with the Lorentz-polarization factor, no thermal factor.

Main lines, low angle first (5 to 70 degrees two-theta):
(2 0 1), d 3.106, 28.74°, I = 34; (1 1 -2), d 3.008, 29.70°, I = 65; (1 1 3), d 2.163, 41.76°, I = 100; (3 1 -1), d 2.158, 41.85°, I = 99; (2 0 -4), d 2.130, 42.44°, I = 47; (0 2 0), d 2.124, 42.57°, I = 50; (2 2 1), d 1.754, 52.16°, I = 19; (2 2 -4), d 1.504, 61.67°, I = 30

Crystal structure
```
data_Li3FePd6
_symmetry_space_group_name_H-M 'P 1 21/m 1'
_symmetry_Int_Tables_number 11
_symmetry_space_group_name_Hall '-P 2yb'
_cell_length_a 7.522
_cell_length_b 4.248
_cell_length_c 9.078
_cell_angle_alpha 90.00
_cell_angle_beta 104.31
_cell_angle_gamma 90.00
loop_
_atom_site_label
_atom_site_type_symbol
_atom_site_fract_x
_atom_site_fract_y
_atom_site_fract_z
Li1 Li 0.043 0.250 0.398
Li2 Li 0.147 0.750 0.190
Li3 Li 0.255 0.250 0.981
Fe1 Fe 0.439 0.250 0.612
Pd1 Pd 0.038 0.750 0.898
Pd2 Pd 0.127 0.250 0.685
Pd3 Pd 0.255 0.750 0.484
Pd4 Pd 0.343 0.250 0.304
Pd5 Pd 0.346 0.750 0.791
Pd6 Pd 0.432 0.750 0.098
```


5.
The following is a theoretical powder diffractogram of Li3FePd12. It was derived from a crystal structure in Alexandria, relaxed with PBE, using CuKα.
Kinematic intensities with the Lorentz-polarization factor, no thermal factor.

Main lines, low angle first (5 to 70 degrees two-theta):
(1 0 0), d 3.902, 22.79°, I = 15; (0 0 4), d 3.867, 23.00°, I = 7; (1 0 4), d 2.747, 32.60°, I = 12; (1 1 4), d 2.246, 40.14°, I = 100; (2 0 0), d 1.951, 46.54°, I = 32; (0 0 8), d 1.934, 46.99°, I = 16; (2 2 0), d 1.380, 67.94°, I = 10; (2 0 8), d 1.373, 68.29°, I = 20

Crystal structure
```
data_Li3FePd12
_symmetry_space_group_name_H-M 'P 4/m m m'
_symmetry_Int_Tables_number 123
_symmetry_space_group_name_Hall '-P 4 2'
_cell_length_a 3.902
_cell_length_b 3.902
_cell_length_c 15.469
_cell_angle_alpha 90.00
_cell_angle_beta 90.00
_cell_angle_gamma 90.00
loop_
_atom_site_label
_atom_site_type_symbol
_atom_site_fract_x
_atom_site_fract_y
_atom_site_fract_z
Li1 Li 0.000 0.000 0.000
Li2 Li 0.000 0.000 0.248
Fe1 Fe 0.000 0.000 0.500
Pd1 Pd 0.000 0.500 0.125
Pd2 Pd 0.000 0.500 0.376
Pd3 Pd 0.500 0.500 0.000
Pd4 Pd 0.500 0.500 0.250
Pd5 Pd 0.500 0.500 0.500
```


6.
The following is a theoretical powder diffractogram of Li2Fe2Pd. It was derived from a crystal structure in Alexandria, relaxed with PBE, using CuKα.
Kinematic intensities with the Lorentz-polarization factor, no thermal factor.

Main lines, low angle first (5 to 70 degrees two-theta):
(1 0 1), d 3.230, 27.61°, I = 55; (0 0 4), d 2.927, 30.54°, I = 52; (1 0 3), d 2.547, 35.24°, I = 35; (1 1 2), d 2.202, 40.99°, I = 100; (1 0 5), d 1.921, 47.32°, I = 17; (2 0 0), d 1.680, 54.61°, I = 22; (1 1 6), d 1.508, 61.49°, I = 25; (2 0 4), d 1.457, 63.88°, I = 23

Crystal structure
```
data_Li2Fe2Pd
_symmetry_space_group_name_H-M 'I 4/m m m'
_symmetry_Int_Tables_number 139
_symmetry_space_group_name_Hall '-I 4 2'
_cell_length_a 3.361
_cell_length_b 3.361
_cell_length_c 11.707
_cell_angle_alpha 90.00
_cell_angle_beta 90.00
_cell_angle_gamma 90.00
loop_
_atom_site_label
_atom_site_type_symbol
_atom_site_fract_x
_atom_site_fract_y
_atom_site_fract_z
Li1 Li 0.000 0.000 0.091
Fe1 Fe 0.000 0.500 0.250
Pd1 Pd 0.000 0.000 0.500
```


7.
The following is a theoretical powder diffractogram of LiFePt14. It was derived from a crystal structure in Alexandria, relaxed with PBE, using CuKα.
Kinematic intensities with the Lorentz-polarization factor, no thermal factor.

Main lines, low angle first (5 to 70 degrees two-theta):
(0 0 1), d 7.792, 11.36°, I = 4; (1 1 1), d 3.526, 25.26°, I = 4; (2 0 1), d 2.631, 34.07°, I = 3; (2 0 2), d 2.271, 39.68°, I = 100; (2 2 0), d 1.977, 45.91°, I = 33; (0 0 4), d 1.948, 46.62°, I = 16; (4 0 0), d 1.398, 66.94°, I = 11; (2 2 4), d 1.388, 67.50°, I = 21

Crystal structure
```
data_LiFePt14
_symmetry_space_group_name_H-M 'P 4/m m m'
_symmetry_Int_Tables_number 123
_symmetry_space_group_name_Hall '-P 4 2'
_cell_length_a 5.591
_cell_length_b 5.591
_cell_length_c 7.792
_cell_angle_alpha 90.00
_cell_angle_beta 90.00
_cell_angle_gamma 90.00
loop_
_atom_site_label
_atom_site_type_symbol
_atom_site_fract_x
_atom_site_fract_y
_atom_site_fract_z
Li1 Li 0.000 0.000 0.000
Fe1 Fe 0.500 0.500 0.000
Pt1 Pt 0.000 0.000 0.500
Pt2 Pt 0.000 0.500 0.000
Pt3 Pt 0.000 0.500 0.500
Pt4 Pt 0.251 0.251 0.242
Pt5 Pt 0.500 0.500 0.500
```


8.
The following is a theoretical powder diffractogram of LiFe2Pt. It was derived from a crystal structure in Alexandria, relaxed with PBE, using CuKα.
Kinematic intensities with the Lorentz-polarization factor, no thermal factor.

Main lines, low angle first (5 to 70 degrees two-theta):
(0 0 1), d 4.713, 18.83°, I = 97; (0 1 1), d 3.151, 28.32°, I = 81; (1 1 0), d 2.180, 41.42°, I = 38; (1 1 -1), d 2.136, 42.31°, I = 73; (0 2 0), d 2.119, 42.67°, I = 37; (0 1 2), d 2.059, 43.97°, I = 100; (0 2 1), d 1.932, 47.02°, I = 19; (1 2 1), d 1.477, 62.95°, I = 22

Crystal structure
```
data_LiFe2Pt
_symmetry_space_group_name_H-M 'P 1 2/m 1'
_symmetry_Int_Tables_number 10
_symmetry_space_group_name_Hall '-P 2y'
_cell_length_a 2.605
_cell_length_b 4.238
_cell_length_c 4.828
_cell_angle_alpha 90.00
_cell_angle_beta 102.53
_cell_angle_gamma 90.00
loop_
_atom_site_label
_atom_site_type_symbol
_atom_site_fract_x
_atom_site_fract_y
_atom_site_fract_z
Li1 Li 0.000 0.000 0.000
Fe1 Fe 0.208 0.500 0.757
Pt1 Pt 0.500 0.000 0.500
```


9.
The following is a theoretical powder diffractogram of Li2FeRe. It was derived from a crystal structure in Alexandria, relaxed with PBE, using CuKα.
Kinematic intensities with the Lorentz-polarization factor, no thermal factor.

Main lines, low angle first (5 to 70 degrees two-theta):
(0 0 1), d 9.333, 9.48°, I = 100; (0 0 2), d 4.667, 19.02°, I = 82; (0 0 4), d 2.333, 38.58°, I = 44; (1 1 1), d 2.264, 39.82°, I = 15; (0 2 0), d 2.168, 41.66°, I = 13; (1 1 2), d 2.087, 43.36°, I = 47; (0 2 2), d 1.966, 46.17°, I = 17; (1 1 4), d 1.650, 55.71°, I = 19

Crystal structure
```
data_Li2FeRe
_symmetry_space_group_name_H-M 'C m m m'
_symmetry_Int_Tables_number 65
_symmetry_space_group_name_Hall '-C 2 2'
_cell_length_a 2.769
_cell_length_b 4.336
_cell_length_c 9.333
_cell_angle_alpha 90.00
_cell_angle_beta 90.00
_cell_angle_gamma 90.00
loop_
_atom_site_label
_atom_site_type_symbol
_atom_site_fract_x
_atom_site_fract_y
_atom_site_fract_z
Li1 Li 0.000 0.000 0.247
Fe1 Fe 0.000 0.500 0.000
Re1 Re 0.000 0.500 0.500
```


10.
The following is a theoretical powder diffractogram of LiFe4Re. It was derived from a crystal structure in Alexandria, relaxed with PBE, using CuKα.
Kinematic intensities with the Lorentz-polarization factor, no thermal factor.

Main lines, low angle first (5 to 70 degrees two-theta):
(1 1 1), d 3.808, 23.36°, I = 40; (2 0 0), d 3.298, 27.04°, I = 41; (2 2 0), d 2.332, 38.61°, I = 36; (3 1 1), d 1.989, 45.62°, I = 100; (2 2 2), d 1.904, 47.77°, I = 32; (3 3 1), d 1.513, 61.26°, I = 9; (4 2 0), d 1.475, 63.03°, I = 16; (4 2 2), d 1.346, 69.87°, I = 13

Crystal structure
```
data_LiFe4Re
_symmetry_space_group_name_H-M 'F -4 3 m'
_symmetry_Int_Tables_number 216
_symmetry_space_group_name_Hall 'F -4 2 3'
_cell_length_a 6.596
_cell_length_b 6.596
_cell_length_c 6.596
_cell_angle_alpha 90.00
_cell_angle_beta 90.00
_cell_angle_gamma 90.00
loop_
_atom_site_label
_atom_site_type_symbol
_atom_site_fract_x
_atom_site_fract_y
_atom_site_fract_z
Li1 Li 0.000 0.000 0.000
Fe1 Fe 0.125 0.125 0.625
Re1 Re 0.250 0.250 0.250
```


11.
The following is a theoretical powder diffractogram of LiFe2Re. It was derived from a crystal structure in Alexandria, relaxed with PBE, using CuKα.
Kinematic intensities with the Lorentz-polarization factor, no thermal factor.

Main lines, low angle first (5 to 70 degrees two-theta):
(0 0 1), d 5.082, 17.45°, I = 100; (0 1 0), d 3.833, 23.21°, I = 77; (0 1 1), d 3.060, 29.19°, I = 42; (1 1 0), d 2.125, 42.54°, I = 94; (0 1 2), d 2.118, 42.70°, I = 90; (1 1 1), d 1.961, 46.31°, I = 34; (0 2 0), d 1.916, 47.44°, I = 34; (1 0 2), d 1.801, 50.69°, I = 54

Crystal structure
```
data_LiFe2Re
_symmetry_space_group_name_H-M 'P m m 2'
_symmetry_Int_Tables_number 25
_symmetry_space_group_name_Hall 'P 2 -2'
_cell_length_a 2.554
_cell_length_b 3.833
_cell_length_c 5.082
_cell_angle_alpha 90.00
_cell_angle_beta 90.00
_cell_angle_gamma 90.00
loop_
_atom_site_label
_atom_site_type_symbol
_atom_site_fract_x
_atom_site_fract_y
_atom_site_fract_z
Li1 Li 0.000 0.000 0.000
Fe1 Fe 0.000 0.000 0.506
Fe2 Fe 0.500 0.500 0.781
Re1 Re 0.500 0.500 0.288
```


12.
The following is a theoretical powder diffractogram of Li2FeRh. It was derived from a crystal structure in Alexandria, relaxed with PBE, using CuKα.
Kinematic intensities with the Lorentz-polarization factor, no thermal factor.

Main lines, low angle first (5 to 70 degrees two-theta):
(0 0 1), d 5.355, 16.56°, I = 100; (0 1 1), d 3.138, 28.45°, I = 27; (1 0 1), d 2.377, 37.85°, I = 12; (0 1 2), d 2.202, 40.98°, I = 30; (1 1 0), d 2.188, 41.25°, I = 34; (1 1 1), d 2.026, 44.74°, I = 30; (1 0 2), d 1.884, 48.30°, I = 18; (1 2 2), d 1.350, 69.63°, I = 12

Crystal structure
```
data_Li2FeRh
_symmetry_space_group_name_H-M 'P m m 2'
_symmetry_Int_Tables_number 25
_symmetry_space_group_name_Hall 'P 2 -2'
_cell_length_a 2.653
_cell_length_b 3.872
_cell_length_c 5.355
_cell_angle_alpha 90.00
_cell_angle_beta 90.00
_cell_angle_gamma 90.00
loop_
_atom_site_label
_atom_site_type_symbol
_atom_site_fract_x
_atom_site_fract_y
_atom_site_fract_z
Li1 Li 0.000 0.000 0.000
Li2 Li 0.500 0.500 0.244
Fe1 Fe 0.500 0.500 0.709
Rh1 Rh 0.000 0.000 0.521
```